Diffraction record for YSi3Ir6. The powder diffraction line list is simulated, not measured: it uses a structure optimized by DFT (GGA-PBE) and Cu Kα.
Neutral-atom scattering factors, no anomalous dispersion.

Main lines, in order of rising 2θ (2θ from 10° to 90°):
hkl, Position (°2θ), Rel. int.
0 0 1, 14.86, 44.4
0 0 2, 29.98, 100.0
1 -2 1, 35.51, 54.8
0 2 -1, 37.69, 50.3
2 0 -1, 37.92, 84.5
-2 2 1, 38.27, 58.9
0 2 -2, 42.55, 69.9
-2 2 2, 43.59, 43.7
2 -2 1, 45.11, 65.1
0 2 1, 45.53, 56.0

```
data_YSi3Ir6
_chemical_formula_sum 'Y1 Si3 Ir6'
_cell_length_a 5.4907
_cell_length_b 5.5364
_cell_length_c 6.6888
_cell_angle_alpha 91.33
_cell_angle_beta 112.48
_cell_angle_gamma 119.62
_symmetry_space_group_name_H-M 'P 1'
_symmetry_Int_Tables_number 1
_symmetry_space_group_name_Hall 'P 1'
loop_
_atom_site_label
_atom_site_type_symbol
_atom_site_fract_x
_atom_site_fract_y
_atom_site_fract_z
_atom_site_occupancy
Y1 Y 0.0000 0.0000 0.0000 1
Si1 Si 0.3129 0.1321 0.4891 1
Si2 Si 0.4398 0.6903 0.1218 1
Si3 Si 0.7053 0.3640 0.1198 1
Ir1 Ir 0.2435 0.6689 0.3954 1
Ir2 Ir 0.3733 0.9356 0.8129 1
Ir3 Ir 0.3848 0.4506 0.7917 1
Ir4 Ir 0.7078 0.5654 0.4432 1
Ir5 Ir 0.8174 0.1195 0.4121 1
Ir6 Ir 0.9063 0.4432 0.8445 1
```



Diffraction record for Y3SiIr2. The powder diffraction line list is simulated, not measured: it uses a structure optimized by DFT (GGA-PBE) and Cu Kα.
Neutral-atom scattering factors, no anomalous dispersion.

Main lines, in order of rising 2θ (2θ from 10° to 90°):
hkl, Position (°2θ), Rel. int.
2 0 2, 21.44, 89.7
2 1 2, 31.30, 65.1
0 1 3, 31.86, 100.0
1 1 3, 32.83, 79.1
3 1 1, 33.50, 64.3
3 1 2, 35.98, 63.1
4 1 2, 41.77, 83.3
3 0 5, 44.58, 54.2
0 2 0, 46.02, 74.9
3 2 5, 66.02, 66.0

```
data_Y3SiIr2
_chemical_formula_sum 'Y12 Si4 Ir8'
_cell_length_a 11.4622
_cell_length_b 3.9444
_cell_length_c 12.0026
_cell_angle_alpha 90.00
_cell_angle_beta 90.00
_cell_angle_gamma 90.00
_symmetry_space_group_name_H-M 'P n m a'
_symmetry_Int_Tables_number 62
_symmetry_space_group_name_Hall '-P 2ac 2n'
loop_
_atom_site_label
_atom_site_type_symbol
_atom_site_fract_x
_atom_site_fract_y
_atom_site_fract_z
_atom_site_occupancy
Y1 Y 0.0580 0.2500 0.1164 1
Y2 Y 0.1272 0.7500 0.5557 1
Y3 Y 0.1967 0.2500 0.8055 1
Si1 Si 0.1245 0.2500 0.3610 1
Ir1 Ir 0.0226 0.7500 0.3137 1
Ir2 Ir 0.1954 0.7500 0.9789 1
```



Diffraction record for Yb5Si10Ir4. The powder diffraction line list is simulated, not measured: it uses a structure optimized by DFT (GGA-PBE) and Cu Kα.
Neutral-atom scattering factors, no anomalous dispersion.

Main lines, in order of rising 2θ (2θ from 10° to 90°):
hkl, Position (°2θ), Rel. int.
2 2 0, 19.92, 21.3
3 1 0, 22.29, 24.7
1 1 1, 23.00, 23.1
3 2 0, 25.47, 16.6
2 2 1, 28.88, 32.7
4 0 1, 35.33, 100.0
4 1 1, 36.06, 32.8
3 3 1, 36.78, 29.9
4 4 0, 40.47, 25.1
0 0 2, 42.11, 34.8

```
data_Yb5Si10Ir4
_chemical_formula_sum 'Yb10 Si20 Ir8'
_cell_length_a 12.6099
_cell_length_b 12.6099
_cell_length_c 4.2920
_cell_angle_alpha 90.00
_cell_angle_beta 90.00
_cell_angle_gamma 90.00
_symmetry_space_group_name_H-M 'P 4/m b m'
_symmetry_Int_Tables_number 127
_symmetry_space_group_name_Hall '-P 4 2ab'
loop_
_atom_site_label
_atom_site_type_symbol
_atom_site_fract_x
_atom_site_fract_y
_atom_site_fract_z
_atom_site_occupancy
Yb1 Yb 0.0000 0.0000 0.0000 1
Yb2 Yb 0.1153 0.3847 0.5000 1
Yb3 Yb 0.1745 0.6745 0.5000 1
Si1 Si 0.0034 0.8439 0.5000 1
Si2 Si 0.0666 0.5666 0.0000 1
Si3 Si 0.1652 0.1998 0.0000 1
Ir1 Ir 0.0187 0.7552 0.0000 1
```



Diffraction record for ZnSi2Ir3. The powder diffraction line list is simulated, not measured: it uses a structure optimized by DFT (GGA-PBE) and Cu Kα.
Neutral-atom scattering factors, no anomalous dispersion.

Main lines, in order of rising 2θ (2θ from 10° to 90°):
hkl, Position (°2θ), Rel. int.
0 0 3, 26.82, 28.6
1 0 0, 31.09, 48.8
0 0 4, 36.03, 13.3
1 0 3, 41.51, 100.0
1 1 0, 44.54, 46.6
1 1 3, 52.76, 18.9
2 0 0, 64.81, 20.4
1 1 6, 73.61, 21.1
1 0 7, 74.29, 9.4
2 1 3, 79.97, 29.9

```
data_ZnSi2Ir3
_chemical_formula_sum 'Zn1 Si2 Ir3'
_cell_length_a 2.8766
_cell_length_b 2.8766
_cell_length_c 9.9740
_cell_angle_alpha 90.00
_cell_angle_beta 90.00
_cell_angle_gamma 90.00
_symmetry_space_group_name_H-M 'P 4/m m m'
_symmetry_Int_Tables_number 123
_symmetry_space_group_name_Hall '-P 4 2'
loop_
_atom_site_label
_atom_site_type_symbol
_atom_site_fract_x
_atom_site_fract_y
_atom_site_fract_z
_atom_site_occupancy
Zn1 Zn 0.0000 0.0000 0.0000 1
Si1 Si 0.0000 0.0000 0.3322 1
Ir1 Ir 0.5000 0.5000 0.1923 1
Ir2 Ir 0.5000 0.5000 0.5000 1
```



Diffraction record for Zr4Si6Ir7. The powder diffraction line list is simulated, not measured: it uses a structure optimized by DFT (GGA-PBE) and Cu Kα.
Neutral-atom scattering factors, no anomalous dispersion.

Main lines, in order of rising 2θ (2θ from 10° to 90°):
hkl, Position (°2θ), Rel. int.
1 1 0, 15.45, 21.9
2 1 1, 26.92, 85.4
2 2 2, 38.44, 100.0
3 2 1, 41.66, 74.5
4 0 0, 44.69, 78.0
3 3 2, 52.95, 24.1
4 4 0, 65.04, 47.5
6 1 1, 71.73, 21.9
6 2 2, 78.16, 33.6
6 3 3, 88.60, 18.2

```
data_Zr4Si6Ir7
_chemical_formula_sum 'Zr8 Si12 Ir14'
_cell_length_a 8.1115
_cell_length_b 8.1115
_cell_length_c 8.1115
_cell_angle_alpha 90.00
_cell_angle_beta 90.00
_cell_angle_gamma 90.00
_symmetry_space_group_name_H-M 'I m -3 m'
_symmetry_Int_Tables_number 229
_symmetry_space_group_name_Hall '-I 4 2 3'
loop_
_atom_site_label
_atom_site_type_symbol
_atom_site_fract_x
_atom_site_fract_y
_atom_site_fract_z
_atom_site_occupancy
Zr1 Zr 0.2500 0.2500 0.2500 1
Si1 Si 0.0000 0.0000 0.3191 1
Ir1 Ir 0.0000 0.0000 0.0000 1
Ir2 Ir 0.0000 0.2500 0.5000 1
```



Diffraction record for Zr2Si3Ir5. The powder diffraction line list is simulated, not measured: it uses a structure optimized by DFT (GGA-PBE) and Cu Kα.
Neutral-atom scattering factors, no anomalous dispersion.

Main lines, in order of rising 2θ (2θ from 10° to 90°):
hkl, Position (°2θ), Rel. int.
1 3 1, 28.67, 32.1
1 5 1, 32.50, 31.3
1 1 2, 35.68, 55.1
1 3 2, 37.32, 100.0
1 7 1, 37.58, 67.2
1 9 0, 41.24, 33.7
0 4 3, 43.96, 33.6
2 0 0, 45.96, 64.1
0 10 2, 47.32, 33.9
1 13 3, 71.40, 32.2

```
data_Zr2Si3Ir5
_chemical_formula_sum 'Zr8 Si12 Ir20'
_cell_length_a 3.9504
_cell_length_b 23.6644
_cell_length_c 6.5920
_cell_angle_alpha 90.00
_cell_angle_beta 90.00
_cell_angle_gamma 90.00
_symmetry_space_group_name_H-M 'C m c 21'
_symmetry_Int_Tables_number 36
_symmetry_space_group_name_Hall 'C 2c -2'
loop_
_atom_site_label
_atom_site_type_symbol
_atom_site_fract_x
_atom_site_fract_y
_atom_site_fract_z
_atom_site_occupancy
Zr1 Zr 0.0000 0.0233 0.0000 1
Zr2 Zr 0.0000 0.3249 0.0277 1
Si1 Si 0.0000 0.1119 0.7495 1
Si2 Si 0.0000 0.2672 0.5424 1
Si3 Si 0.0000 0.4574 0.7953 1
Ir1 Ir 0.0000 0.0971 0.3606 1
Ir2 Ir 0.0000 0.2069 0.2519 1
Ir3 Ir 0.0000 0.2072 0.8360 1
Ir4 Ir 0.0000 0.3729 0.5473 1
Ir5 Ir 0.0000 0.4441 0.1664 1
```



Diffraction record for SmSn4Ir4. The powder diffraction line list is simulated, not measured: it uses a structure optimized by DFT (GGA-PBE) and Cu Kα.
Neutral-atom scattering factors, no anomalous dispersion.

Main lines, in order of rising 2θ (2θ from 10° to 90°):
hkl, Position (°2θ), Rel. int.
1 1 0, 14.26, 24.1
1 0 1, 19.35, 23.5
2 0 0, 20.21, 20.3
1 3 0, 32.22, 100.0
1 0 2, 34.89, 50.1
2 3 1, 40.65, 42.8
3 0 2, 45.80, 80.7
3 2 2, 50.54, 22.4
3 6 1, 74.58, 20.2
7 0 1, 78.21, 19.8

```
data_SmSn4Ir4
_chemical_formula_sum 'Sm2 Sn8 Ir8'
_cell_length_a 8.7859
_cell_length_b 8.7859
_cell_length_c 5.3789
_cell_angle_alpha 90.00
_cell_angle_beta 90.00
_cell_angle_gamma 90.00
_symmetry_space_group_name_H-M 'P 42/n'
_symmetry_Int_Tables_number 86
loop_
_symmetry_equiv_pos_as_xyz
'x,y,z'
'-x,-y,-z'
'-y,x+1/2,z+1/2'
'y,-x+1/2,-z+1/2'
'-x+1/2,-y+1/2,z'
'x+1/2,y+1/2,-z'
'y+1/2,-x,z+1/2'
'-y+1/2,x,-z+1/2'
loop_
_atom_site_label
_atom_site_type_symbol
_atom_site_fract_x
_atom_site_fract_y
_atom_site_fract_z
_atom_site_occupancy
Sm1 Sm 0.2500 0.2500 0.2500 1
Sn1 Sn 0.1025 0.6362 0.1486 1
Ir1 Ir 0.0515 0.6023 0.6574 1
```



Diffraction record for SrSm3Ir8. The powder diffraction line list is simulated, not measured: it uses a structure optimized by DFT (GGA-PBE) and Cu Kα.
Neutral-atom scattering factors, no anomalous dispersion.

Main lines, in order of rising 2θ (2θ from 10° to 90°):
hkl, Position (°2θ), Rel. int.
0 1 2, 20.04, 19.3
1 1 0, 33.02, 17.4
2 0 2, 38.93, 100.0
0 2 4, 40.74, 52.1
2 0 8, 47.39, 10.7
3 0 0, 58.97, 6.6
3 0 6, 62.94, 32.8
2 2 0, 69.27, 30.2
1 3 10, 82.42, 11.7
4 0 4, 83.59, 20.3

```
data_SrSm3Ir8
_chemical_formula_sum 'Sr3 Sm9 Ir24'
_cell_length_a 5.4256
_cell_length_b 5.4256
_cell_length_c 26.5797
_cell_angle_alpha 90.00
_cell_angle_beta 90.00
_cell_angle_gamma 120.00
_symmetry_space_group_name_H-M 'R 3 m'
_symmetry_Int_Tables_number 160
_symmetry_space_group_name_Hall 'R 3 -2"'
loop_
_atom_site_label
_atom_site_type_symbol
_atom_site_fract_x
_atom_site_fract_y
_atom_site_fract_z
_atom_site_occupancy
Sr1 Sr 0.0000 0.0000 0.0000 1
Sm1 Sm 0.0000 0.0000 0.1242 1
Sm2 Sm 0.0000 0.0000 0.5008 1
Sm3 Sm 0.0000 0.0000 0.6267 1
Ir1 Ir 0.0000 0.0000 0.3129 1
Ir2 Ir 0.0000 0.0000 0.8129 1
Ir3 Ir 0.0017 0.5008 0.0641 1
Ir4 Ir 0.1677 0.3354 0.8951 1
```



Diffraction record for Tb3SmIr. The powder diffraction line list is simulated, not measured: it uses a structure optimized by DFT (GGA-PBE) and Cu Kα.
Neutral-atom scattering factors, no anomalous dispersion.

Main lines, in order of rising 2θ (2θ from 10° to 90°):
hkl, Position (°2θ), Rel. int.
1 0 1, 18.32, 19.3
1 1 1, 22.81, 26.8
0 0 2, 28.59, 19.3
2 1 1, 30.54, 100.0
0 2 1, 30.75, 46.7
2 1 2, 39.66, 42.0
0 2 2, 39.83, 21.1
4 0 0, 47.37, 24.0
2 3 0, 47.81, 30.9
2 1 3, 51.88, 22.8

```
data_Tb3SmIr
_chemical_formula_sum 'Tb6 Sm2 Ir2'
_cell_length_a 7.6743
_cell_length_b 6.5714
_cell_length_c 6.2440
_cell_angle_alpha 90.00
_cell_angle_beta 90.00
_cell_angle_gamma 90.00
_symmetry_space_group_name_H-M 'P m n 21'
_symmetry_Int_Tables_number 31
_symmetry_space_group_name_Hall 'P 2ac -2'
loop_
_atom_site_label
_atom_site_type_symbol
_atom_site_fract_x
_atom_site_fract_y
_atom_site_fract_z
_atom_site_occupancy
Tb1 Tb 0.0000 0.1536 0.0000 1
Tb2 Tb 0.2492 0.6832 0.0051 1
Sm1 Sm 0.0000 0.8506 0.5093 1
Ir1 Ir 0.0000 0.4969 0.2543 1
```



Diffraction record for Tb2SmIr. The powder diffraction line list is simulated, not measured: it uses a structure optimized by DFT (GGA-PBE) and Cu Kα.
Neutral-atom scattering factors, no anomalous dispersion.

Main lines, in order of rising 2θ (2θ from 10° to 90°):
hkl, Position (°2θ), Rel. int.
2 1 1, 29.74, 25.8
2 2 0, 31.02, 35.8
0 3 1, 31.63, 39.1
1 1 2, 31.82, 68.4
2 2 1, 34.04, 100.0
1 2 2, 35.93, 28.6
2 3 0, 37.79, 34.7
3 0 1, 39.70, 25.5
1 3 3, 53.16, 23.7
0 6 0, 58.63, 21.9

```
data_Tb2SmIr
_chemical_formula_sum 'Tb8 Sm4 Ir4'
_cell_length_a 7.2784
_cell_length_b 9.4443
_cell_length_c 6.4434
_cell_angle_alpha 90.00
_cell_angle_beta 90.00
_cell_angle_gamma 90.00
_symmetry_space_group_name_H-M 'P n m a'
_symmetry_Int_Tables_number 62
_symmetry_space_group_name_Hall '-P 2ac 2n'
loop_
_atom_site_label
_atom_site_type_symbol
_atom_site_fract_x
_atom_site_fract_y
_atom_site_fract_z
_atom_site_occupancy
Tb1 Tb 0.1757 0.0642 0.1712 1
Sm1 Sm 0.0344 0.2500 0.6351 1
Ir1 Ir 0.1177 0.7500 0.9409 1
```



Diffraction record for Sm4Te3Ir. The powder diffraction line list is simulated, not measured: it uses a structure optimized by DFT (GGA-PBE) and Cu Kα.
Neutral-atom scattering factors, no anomalous dispersion.

Main lines, in order of rising 2θ (2θ from 10° to 90°):
hkl, Position (°2θ), Rel. int.
1 1 0, 12.08, 17.1
0 4 0, 28.53, 50.7
2 0 1, 28.70, 100.0
4 0 0, 39.88, 17.3
2 4 1, 40.91, 72.2
0 0 2, 42.16, 18.8
4 4 0, 49.76, 17.1
0 4 2, 51.69, 19.5
2 8 1, 66.95, 13.9
4 4 2, 67.22, 13.8

```
data_Sm4Te3Ir
_chemical_formula_sum 'Sm8 Te6 Ir2'
_cell_length_a 9.0414
_cell_length_b 12.5152
_cell_length_c 4.2870
_cell_angle_alpha 90.00
_cell_angle_beta 90.00
_cell_angle_gamma 90.00
_symmetry_space_group_name_H-M 'C m m m'
_symmetry_Int_Tables_number 65
_symmetry_space_group_name_Hall '-C 2 2'
loop_
_atom_site_label
_atom_site_type_symbol
_atom_site_fract_x
_atom_site_fract_y
_atom_site_fract_z
_atom_site_occupancy
Sm1 Sm 0.0000 0.2305 0.0000 1
Sm2 Sm 0.2113 0.0000 0.5000 1
Te1 Te 0.0000 0.5000 0.0000 1
Te2 Te 0.2500 0.2500 0.5000 1
Ir1 Ir 0.0000 0.0000 0.0000 1
```



Diffraction record for Sm3Te2Ir. The powder diffraction line list is simulated, not measured: it uses a structure optimized by DFT (GGA-PBE) and Cu Kα.
Neutral-atom scattering factors, no anomalous dispersion.

Main lines, in order of rising 2θ (2θ from 10° to 90°):
hkl, Position (°2θ), Rel. int.
0 2 0, 28.68, 58.3
1 0 3, 29.04, 100.0
0 0 6, 39.95, 14.6
1 2 3, 41.27, 77.5
2 0 0, 43.06, 19.4
0 2 6, 49.92, 15.4
2 2 0, 52.55, 21.7
1 4 3, 67.45, 20.8
2 2 6, 68.00, 12.2
3 2 3, 77.70, 12.5

```
data_Sm3Te2Ir
_chemical_formula_sum 'Sm6 Te4 Ir2'
_cell_length_a 4.2017
_cell_length_b 6.2257
_cell_length_c 13.5399
_cell_angle_alpha 90.00
_cell_angle_beta 90.00
_cell_angle_gamma 90.00
_symmetry_space_group_name_H-M 'I m m m'
_symmetry_Int_Tables_number 71
_symmetry_space_group_name_Hall '-I 2 2'
loop_
_atom_site_label
_atom_site_type_symbol
_atom_site_fract_x
_atom_site_fract_y
_atom_site_fract_z
_atom_site_occupancy
Sm1 Sm 0.0000 0.0000 0.0000 1
Sm2 Sm 0.0000 0.0000 0.3633 1
Te1 Te 0.0000 0.5000 0.3221 1
Ir1 Ir 0.0000 0.5000 0.0000 1
```